Starting from a cell relaxed with PBE+U, the XRD peak list of Sr2EuFeO5 was calculated for Cu Ka.
No peak broadening, texture or thermal motion is included.

The 10 most intense peaks (5 to 70 degrees two-theta), low angle first:
| 2θ/deg | d_spacing | I_rel | index |
| --- | --- | --- | --- |
| 30.4 | 2.942 | 55 | 1 3 1 |
| 30.6 | 2.926 | 100 | 2 2 2 |
| 31.2 | 2.867 | 38 | 0 0 4 |
| 37.8 | 2.381 | 74 | 1 3 3 |
| 42.0 | 2.151 | 20 | 4 2 0 |
| 49.5 | 1.842 | 21 | 4 0 4 |
| 49.8 | 1.832 | 24 | 1 3 5 |
| 55.1 | 1.666 | 21 | 2 2 6 |
| 56.3 | 1.633 | 17 | 5 3 1 |
| 61.2 | 1.515 | 19 | 3 5 3 |

Cell and atoms:
```
data_Sr2EuFeO5
_chemical_formula_sum 'Sr16 Eu8 Fe8 O40'
_symmetry_space_group_name_H-M 'F m m m'
_symmetry_Int_Tables_number 69
_symmetry_space_group_name_Hall '-F 2 2'
_cell_length_a 9.6063
_cell_length_b 9.6372
_cell_length_c 11.4695
_cell_angle_alpha 90.00
_cell_angle_beta 90.00
_cell_angle_gamma 90.00
loop_
_atom_site_label
_atom_site_fract_x
_atom_site_fract_y
_atom_site_fract_z
_atom_site_occupancy
Sr1 0.1716 0.0000 0.0000 1
Sr2 0.2500 0.2500 0.2500 1
Eu1 0.0000 0.1784 0.5000 1
Fe1 0.0000 0.0000 0.2484 1
O1 0.0000 0.1526 0.1434 1
O2 0.1447 0.0000 0.3581 1
O3 0.2500 0.2500 0.0000 1
```